No. 1
Diffraction record for Rb2GaSe2O6. The powder X-ray diffraction pattern is calculated, not measured: it uses a DFT-relaxed cell (GGA-PBE, Alexandria) and copper Kα.
Lines closer than 0.1° are merged.

Peak list (10 most intense, 2θ = 10–90°, by angle)
2θ (°)  I (rel.)  (hkl)
28.21  13  0 0 6
29.28  100  0 1 5
30.21  92  1 1 0
39.99  12  0 2 4
42.57  25  2 0 5
53.08  39  1 2 5
53.34  18  1 1 9
53.66  18  3 0 0
62.82  18  2 2 0
70.79  15  3 1 5

Structural model:
Lattice parameters (Å, degrees): 5.9170 5.9170 18.9824 90.00 90.00 120.00
Space group R-3m (No. 166, hexagonal axes)
Unique sites:
Rb 0.0000 0.0000 0.2165 x6
Ga 0.0000 0.0000 0.0000 x3
Se 0.0000 0.0000 0.4169 x6
O 0.0184 0.5092 0.7323 x18

---

No. 2
Diffraction record for KY. The powder X-ray diffraction pattern is calculated, not measured: it uses a DFT-relaxed cell (GGA-PBE, Alexandria) and copper Kα.
Lines closer than 0.1° are merged.

Peak list (10 most intense, 2θ = 10–90°, by angle)
2θ (°)  I (rel.)  (hkl)
11.97  20  2 0 0
24.07  42  4 0 0
25.11  16  1 0 1
26.96  45  2 4 0
27.90  41  2 1 1
30.83  28  1 5 0
32.83  100  3 2 1
35.06  30  4 1 1
54.59  12  5 6 1
56.12  18  4 0 2

Structural model:
Lattice parameters (Å, degrees): 14.7892 14.7892 3.6536 90.00 90.00 90.00
Space group P4/m (No. 83)
Unique sites:
K 0.1142 0.8205 0.0000 x4
K 0.3316 0.3728 0.5000 x4
Y 0.0777 0.3631 0.0000 x4
Y 0.1005 0.5561 0.5000 x4

---

No. 3
Diffraction record for TlPd6Pb12. The powder X-ray diffraction pattern is calculated, not measured: it uses a DFT-relaxed cell (GGA-PBE, Alexandria) and copper Kα.
Lines closer than 0.1° are merged.

Peak list (10 most intense, 2θ = 10–90°, by angle)
2θ (°)  I (rel.)  (hkl)
29.03  100  1 3 1
30.93  56  1 1 3
34.68  40  3 2 1
36.32  52  0 3 3
38.41  21  2 3 2
40.02  24  3 3 0
40.65  25  0 2 4
42.98  50  5 0 2
55.63  19  3 1 5
62.12  19  4 4 3

Structural model:
Lattice parameters (Å, degrees): 13.5191 13.5191 9.5946 90.00 90.00 120.00
Space group R-3m (No. 166, hexagonal axes)
Unique sites:
Tl 0.0000 0.0000 0.0000 x3
Pd 0.0571 0.5286 0.2438 x18
Pb 0.0000 0.3757 0.5000 x18
Pb 0.0855 0.1710 0.3137 x18

---

No. 4
Diffraction record for CeTmZn2. The powder X-ray diffraction pattern is calculated, not measured: it uses a DFT-relaxed cell (GGA-PBE, Alexandria) and copper Kα.
Lines closer than 0.1° are merged.

Peak list (10 most intense, 2θ = 10–90°, by angle)
2θ (°)  I (rel.)  (hkl)
23.90  10  0 0 2
25.52  15  1 0 0
35.25  100  1 0 2
36.41  47  1 1 0
44.02  8  1 1 2
48.92  9  0 0 4
52.43  16  2 0 0
62.49  18  1 1 4
64.76  33  2 1 2
74.53  10  2 0 4

Structural model:
Lattice parameters (Å, degrees): 3.4902 3.4902 7.4471 90.00 90.00 90.00
Space group P4/mmm (No. 123)
Unique sites:
Ce 0.0000 0.0000 0.0000 x1
Tm 0.0000 0.0000 0.5000 x1
Zn 0.5000 0.5000 0.2696 x2

---

No. 5
Diffraction record for Dy8Ga3Co. The powder X-ray diffraction pattern is calculated, not measured: it uses a DFT-relaxed cell (GGA-PBE, Alexandria) and copper Kα.
Lines closer than 0.1° are merged.

Peak list (10 most intense, 2θ = 10–90°, by angle)
2θ (°)  I (rel.)  (hkl)
24.20  18  2 0 1
30.15  46  2 1 1
31.40  23  1 1 2
33.09  100  2 0 2
33.57  20  3 0 1
35.85  90  2 2 0
40.43  11  1 0 3
49.58  17  4 0 2
61.50  17  3 2 3
65.53  12  2 2 4

Structural model:
Lattice parameters (Å, degrees): 10.0207 10.0207 6.9265 90.00 90.00 120.00
Space group P6_3mc (No. 186)
Unique sites:
Dy 0.0000 0.0000 0.0245 x2
Dy 0.0734 0.5367 0.0000 x6
Dy 0.1727 0.3455 0.3029 x6
Dy 0.3333 0.6667 0.6195 x2
Ga 0.1635 0.3270 0.7519 x6
Co 0.3333 0.6667 0.2342 x2

---

No. 6
Diffraction record for LiGa2Pt4. The powder X-ray diffraction pattern is calculated, not measured: it uses a DFT-relaxed cell (GGA-PBE, Alexandria) and copper Kα.
Lines closer than 0.1° are merged.

Peak list (10 most intense, 2θ = 10–90°, by angle)
2θ (°)  I (rel.)  (hkl)
28.45  20  1 1 0
28.93  32  1 1 -2
38.86  100  2 -2 0
39.57  84  0 1 2
40.38  72  2 1 -1
40.54  74  0 2 -3
45.94  48  2 0 -3
46.40  52  0 3 -1
46.66  53  2 -1 2
65.63  20  -2 3 2

Structural model:
Lattice parameters (Å, degrees): 5.5949 6.2099 7.2492 113.01 101.38 105.00
Space group P1 (No. 1)
Unique sites:
Li 0.0000 0.0000 0.0000 x1
Li 0.3286 0.8410 0.5537 x1
Ga 0.0763 0.5455 0.7016 x1
Ga 0.4356 0.4135 0.2558 x1
Ga 0.5777 0.5649 0.7287 x1
Ga 0.6557 0.0754 0.3940 x1
Pt 0.2127 0.1576 0.4154 x1
Pt 0.2244 0.6917 0.1444 x1
Pt 0.2737 0.2582 0.8468 x1
Pt 0.4856 0.9497 0.9553 x1
Pt 0.7388 0.7012 0.1370 x1
Pt 0.7685 0.2623 0.8099 x1
Pt 0.8372 0.8150 0.5782 x1
Pt 0.9062 0.3970 0.2888 x1

---

No. 7
Diffraction record for Pm5Ge2Ru. The powder X-ray diffraction pattern is calculated, not measured: it uses a DFT-relaxed cell (GGA-PBE, Alexandria) and copper Kα.
Lines closer than 0.1° are merged.

Peak list (10 most intense, 2θ = 10–90°, by angle)
2θ (°)  I (rel.)  (hkl)
31.19  44  1 0 7
33.94  58  0 1 8
34.90  100  1 1 0
47.50  14  0 2 7
49.50  23  2 0 8
60.29  14  2 1 7
61.99  22  1 2 8
62.59  18  3 0 0
64.42  18  1 1 15
73.72  11  2 2 0

Structural model:
Lattice parameters (Å, degrees): 5.1409 5.1409 26.2434 90.00 90.00 120.00
Space group R-3m (No. 166, hexagonal axes)
Unique sites:
Pm 0.0000 0.0000 0.0000 x3
Pm 0.0000 0.0000 0.1298 x6
Pm 0.0000 0.0000 0.2723 x6
Ge 0.0000 0.0000 0.3975 x6
Ru 0.0000 0.0000 0.5000 x3

---

No. 8
Diffraction record for La4ScTl2. The powder X-ray diffraction pattern is calculated, not measured: it uses a DFT-relaxed cell (GGA-PBE, Alexandria) and copper Kα.
Lines closer than 0.1° are merged.

Peak list (10 most intense, 2θ = 10–90°, by angle)
2θ (°)  I (rel.)  (hkl)
28.41  100  1 2 -1
28.82  82  0 2 2
29.18  70  0 1 3
30.21  79  2 0 0
31.59  93  2 2 2
32.27  60  0 1 -3
32.92  96  0 2 -2
33.55  68  2 1 3
34.05  86  1 -2 1
35.16  93  1 0 -3

Structural model:
Lattice parameters (Å, degrees): 6.5531 7.9054 10.0609 76.73 72.50 68.38
Space group P-1 (No. 2)
Unique sites:
La 0.0033 0.2094 0.2658 x2
La 0.0446 0.2735 0.6354 x2
La 0.4539 0.1999 0.8709 x2
La 0.4812 0.7289 0.7755 x2
Sc 0.3571 0.9075 0.4478 x2
Tl 0.0000 0.0000 0.0000 x1
Tl 0.1509 0.5661 0.0581 x2
Tl 0.5000 0.5000 0.5000 x1

---

No. 9
Diffraction record for Ac2TlHPt6. The powder X-ray diffraction pattern is calculated, not measured: it uses a DFT-relaxed cell (GGA-PBE, Alexandria) and copper Kα.
Lines closer than 0.1° are merged.

Peak list (10 most intense, 2θ = 10–90°, by angle)
2θ (°)  I (rel.)  (hkl)
26.96  16  0 0 6
33.24  30  1 1 3
36.28  100  2 0 2
39.67  69  0 2 4
42.05  16  2 0 5
53.89  14  0 1 11
57.75  17  2 1 7
63.00  28  2 2 0
71.56  12  1 2 11
74.91  17  0 4 2

Structural model:
Lattice parameters (Å, degrees): 5.9026 5.9026 19.8422 90.00 90.00 120.00
Space group R-3m (No. 166, hexagonal axes)
Unique sites:
Ac 0.0000 0.0000 0.2298 x6
Tl 0.0000 0.0000 0.5000 x3
H 0.0000 0.0000 0.0000 x3
Pt 0.0023 0.5012 0.2765 x18

---

No. 10
Diffraction record for MnCuTe4. The powder X-ray diffraction pattern is calculated, not measured: it uses a DFT-relaxed cell (GGA-PBE, Alexandria) and copper Kα.
Lines closer than 0.1° are merged.

Peak list (10 most intense, 2θ = 10–90°, by angle)
2θ (°)  I (rel.)  (hkl)
26.60  36  2 0 0
26.91  33  0 0 2
30.28  67  2 0 -2
30.66  48  1 2 -1
34.77  100  1 2 1
44.91  24  2 0 2
46.57  41  3 2 -1
46.96  38  1 2 -3
54.75  26  0 4 0
55.49  20  0 0 4

Structural model:
Lattice parameters (Å, degrees): 7.1933 6.7086 7.1110 90.00 111.27 90.00
Space group P2/c (No. 13)
Unique sites:
Mn 0.0000 0.1349 0.2500 x2
Cu 0.5000 0.1361 0.7500 x2
Te 0.2372 0.1174 0.0249 x4
Te 0.2542 0.3799 0.4998 x4

---

No. 11
Diffraction record for Na2NpCd2O6. The powder X-ray diffraction pattern is calculated, not measured: it uses a DFT-relaxed cell (GGA-PBE, Alexandria) and copper Kα.
Lines closer than 0.1° are merged.

Peak list (10 most intense, 2θ = 10–90°, by angle)
2θ (°)  I (rel.)  (hkl)
15.71  100  0 0 1
18.40  15  1 1 0
30.49  18  2 0 -1
31.77  49  0 0 2
32.32  16  2 0 0
32.90  30  1 3 -1
36.51  24  2 0 -2
38.23  42  1 3 1
41.04  22  2 0 1
53.49  14  1 3 -3

Structural model:
Lattice parameters (Å, degrees): 5.9258 9.8016 6.0356 90.00 110.79 90.00
Space group C2/m (No. 12)
Unique sites:
Na 0.0000 0.1784 0.0000 x4
Np 0.0000 0.0000 0.5000 x2
Cd 0.0000 0.3378 0.5000 x4
O 0.2163 0.1548 0.7150 x8
O 0.2171 0.0000 0.2915 x4

---

No. 12
Diffraction record for Cs5K4Ag. The powder X-ray diffraction pattern is calculated, not measured: it uses a DFT-relaxed cell (GGA-PBE, Alexandria) and copper Kα.
Lines closer than 0.1° are merged.

Peak list (10 most intense, 2θ = 10–90°, by angle)
2θ (°)  I (rel.)  (hkl)
13.25  23  1 0 1
16.55  22  2 2 0
21.26  100  3 0 1
23.90  33  0 0 2
24.94  58  3 3 0
34.82  48  3 3 2
35.56  22  6 0 0
40.50  18  3 0 3
41.81  30  6 3 1
43.30  25  6 0 2

Structural model:
Lattice parameters (Å, degrees): 15.1466 15.1466 7.4462 90.00 90.00 90.00
Space group I4/mmm (No. 139)
Unique sites:
Cs 0.0000 0.0000 0.0000 x2
Cs 0.1713 0.1713 0.5000 x8
K 0.0000 0.3511 0.0000 x8
Ag 0.0000 0.0000 0.5000 x2

---

No. 13
Diffraction record for LiPm2Np3N6. The powder X-ray diffraction pattern is calculated, not measured: it uses a DFT-relaxed cell (GGA-PBE, Alexandria) and copper Kα.
Lines closer than 0.1° are merged.

Peak list (10 most intense, 2θ = 10–90°, by angle)
2θ (°)  I (rel.)  (hkl)
15.57  27  2 0 -1
29.91  10  1 1 1
31.42  100  4 0 -2
36.23  47  1 1 -2
36.86  22  6 0 0
52.64  32  5 1 2
62.18  31  5 1 -4
63.03  15  10 0 -2
65.55  12  6 2 0
86.14  10  11 1 -4

Structural model:
Lattice parameters (Å, degrees): 15.0466 3.5105 7.0061 90.00 103.49 90.00
Space group C2/m (No. 12)
Unique sites:
Li 0.0000 0.0000 0.0000 x2
Pm 0.1638 0.5000 0.3256 x4
Np 0.0000 0.0000 0.5000 x2
Np 0.1631 0.5000 0.8359 x4
N 0.0084 0.5000 0.7166 x4
N 0.1610 0.0000 0.5959 x4
N 0.1755 0.0000 0.0668 x4